Diffraction record for CoTe2P2O10. The PXRD pattern is calculated, not measured: it uses a GGA+U-relaxed structure and Cu Kα (λ = 1.5418 Å).
Peak positions follow from Bragg's law for the DFT cell and can differ from measured ones.

Cell and atoms:
Cell: 4.499 6.065 6.169 Å, 89.92 68.94 76.53°
Space group P-1 (No. 2)
Unique sites:
Co1 0.000 0.000 0.000 [1 per cell]
Te1 0.252 0.404 0.197 [2 per cell]
P1 0.332 0.892 0.404 [2 per cell]
O1 0.021 0.025 0.319 [2 per cell]
O2 0.260 0.634 0.423 [2 per cell]
O3 0.270 0.644 0.953 [2 per cell]
O4 0.383 0.159 0.855 [2 per cell]
O5 0.413 0.166 0.440 [2 per cell]

Principal peaks in the range 5 to 70 degrees two-theta, by intensity:
- 28.74 deg, intensity 100, hkl 1 -1 1
- 31.32 deg, intensity 81, hkl 1 0 -1
- 33.25 deg, intensity 61, hkl 1 1 2
- 21.63 deg, intensity 57, hkl 1 0 1
- 33.52 deg, intensity 52, hkl 0 1 -2
- 32.87 deg, intensity 52, hkl 1 2 0
- 35.59 deg, intensity 50, hkl 0 2 1
- 22.63 deg, intensity 42, hkl 0 1 1
- 60.02 deg, intensity 35, hkl 1 0 4
- 24.00 deg, intensity 34, hkl 1 1 1